Record 1
Structure and computed XRD peak list of NpGaRh2 (DFT lattice parameters and positions (GGA-PBE); Cu Kα (weighted mean of Kα1 and Kα2)).

Largest 6 diffraction maxima, sorted by position, 10 to 80 degrees two-theta:
23.81 deg, d 3.738, I 22; 39.36 deg, d 2.289, I 100; 46.52 deg, d 1.952, I 12; 56.89 deg, d 1.619, I 17; 62.54 deg, d 1.485, I 5; 71.37 deg, d 1.322, I 35

Cell and atoms:
Unit cell a=6.474 b=6.474 c=6.474 alpha=90.00 beta=90.00 gamma=90.00
Space group Fm-3m (No. 225)
Inequivalent atoms, fractional coordinates:
Np 0.000 0.000 0.000 (multiplicity 4)
Ga 0.000 0.000 0.500 (multiplicity 4)
Rh 0.250 0.250 0.250 (multiplicity 8)



Record 2
Structure and computed XRD peak list of Nb6TlS8 (DFT lattice parameters and positions (GGA-PBE); Cu Kα (weighted mean of Kα1 and Kα2)).

Largest 6 diffraction maxima, sorted by position, 10 to 80 degrees two-theta:
21.04 deg, d 4.222, I 71; 27.96 deg, d 3.191, I 45; 28.33 deg, d 3.150, I 49; 38.44 deg, d 2.342, I 53; 38.72 deg, d 2.326, I 100; 49.47 deg, d 1.843, I 37

Cell and atoms:
Unit cell a=9.7499 b=9.7499 c=3.3956 alpha=90.00 beta=90.00 gamma=120.00
Space group P-6 (No. 174)
Inequivalent atoms, fractional coordinates:
Nb 0.0397 0.2218 0.0000 (multiplicity 3)
Nb 0.1541 0.7094 0.5000 (multiplicity 3)
Tl 0.6667 0.3333 0.0000 (multiplicity 1)
S 0.0000 0.0000 0.5000 (multiplicity 1)
S 0.0111 0.3920 0.5000 (multiplicity 3)
S 0.3184 0.2748 0.0000 (multiplicity 3)
S 0.3333 0.6667 0.0000 (multiplicity 1)



Record 3
Structure and computed XRD peak list of In2GaBiS6 (DFT lattice parameters and positions (GGA-PBE); Cu Kα (weighted mean of Kα1 and Kα2)).

Largest 6 diffraction maxima, sorted by position, 10 to 80 degrees two-theta:
23.77 deg, d 3.743, I 100; 28.22 deg, d 3.162, I 91; 29.11 deg, d 3.067, I 57; 31.72 deg, d 2.821, I 47; 33.57 deg, d 2.669, I 57; 35.45 deg, d 2.532, I 74

Cell and atoms:
Unit cell a=11.382 b=3.843 c=12.466 alpha=90.00 beta=116.74 gamma=90.00
Space group P2_1/m (No. 11)
Inequivalent atoms, fractional coordinates:
In 0.051 0.250 0.143 (multiplicity 2)
In 0.258 0.250 0.724 (multiplicity 2)
Ga 0.168 0.750 0.406 (multiplicity 2)
Bi 0.410 0.250 0.112 (multiplicity 2)
S 0.038 0.250 0.764 (multiplicity 2)
S 0.143 0.750 0.577 (multiplicity 2)
S 0.155 0.750 0.068 (multiplicity 2)
S 0.262 0.250 0.368 (multiplicity 2)
S 0.359 0.750 0.897 (multiplicity 2)
S 0.487 0.250 0.721 (multiplicity 2)



Record 4
Structure and computed XRD peak list of Ag (DFT lattice parameters and positions (GGA-PBE); Cu Kα (weighted mean of Kα1 and Kα2)).

Largest 3 diffraction maxima, sorted by position, 10 to 80 degrees two-theta:
38.45 deg, d 2.341, I 100; 55.50 deg, d 1.656, I 16; 69.54 deg, d 1.352, I 32

Cell and atoms:
Unit cell a=3.311 b=3.311 c=3.311 alpha=90.00 beta=90.00 gamma=90.00
Space group Im-3m (No. 229)
Inequivalent atoms, fractional coordinates:
Ag 0.000 0.000 0.000 (multiplicity 2)



Record 5
Structure and computed XRD peak list of NbSn6OF15 (DFT lattice parameters and positions (GGA-PBE); Cu Kα (weighted mean of Kα1 and Kα2)).

Largest 6 diffraction maxima, sorted by position, 10 to 80 degrees two-theta:
23.88 deg, d 3.726, I 100; 24.42 deg, d 3.645, I 79; 25.22 deg, d 3.531, I 82; 26.77 deg, d 3.331, I 46; 26.97 deg, d 3.306, I 47; 43.47 deg, d 2.082, I 31

Cell and atoms:
Unit cell a=19.373 b=8.071 c=11.067 alpha=90.00 beta=90.02 gamma=90.00
Space group Cc (No. 9)
Inequivalent atoms, fractional coordinates:
Nb 0.000 0.171 0.000 (multiplicity 4)
Sn 0.079 0.320 0.641 (multiplicity 4)
Sn 0.152 0.104 0.269 (multiplicity 4)
Sn 0.209 0.423 0.919 (multiplicity 4)
Sn 0.296 0.076 0.553 (multiplicity 4)
Sn 0.353 0.396 0.205 (multiplicity 4)
Sn 0.427 0.181 0.831 (multiplicity 4)
O 0.469 0.326 0.653 (multiplicity 4)
F 0.036 0.172 0.817 (multiplicity 4)
F 0.071 0.005 0.521 (multiplicity 4)
F 0.073 0.340 0.026 (multiplicity 4)
F 0.136 0.483 0.753 (multiplicity 4)
F 0.156 0.364 0.492 (multiplicity 4)
F 0.160 0.149 0.696 (multiplicity 4)
F 0.221 0.008 0.396 (multiplicity 4)
F 0.239 0.126 0.144 (multiplicity 4)
F 0.267 0.374 0.328 (multiplicity 4)
F 0.284 0.492 0.076 (multiplicity 4)
F 0.344 0.351 0.777 (multiplicity 4)
F 0.349 0.137 0.980 (multiplicity 4)
F 0.369 0.018 0.718 (multiplicity 4)
F 0.435 0.160 0.439 (multiplicity 4)
F 0.436 0.495 0.943 (multiplicity 4)



Record 6
Structure and computed XRD peak list of Ag5PSeO4 (DFT lattice parameters and positions (GGA-PBE); Cu Kα (weighted mean of Kα1 and Kα2)).

Largest 6 diffraction maxima, sorted by position, 10 to 80 degrees two-theta:
17.96 deg, d 4.939, I 20; 28.28 deg, d 3.156, I 28; 35.43 deg, d 2.534, I 100; 36.38 deg, d 2.470, I 51; 52.39 deg, d 1.746, I 17; 64.84 deg, d 1.438, I 22

Cell and atoms:
Unit cell a=6.985 b=6.985 c=7.364 alpha=90.00 beta=90.00 gamma=90.00
Space group P4/nmm (No. 129, origin choice 2)
Inequivalent atoms, fractional coordinates:
Ag 0.031 0.031 0.196 (multiplicity 8)
Ag 0.250 0.250 0.470 (multiplicity 2)
P 0.250 0.750 0.500 (multiplicity 2)
Se 0.250 0.250 0.000 (multiplicity 2)
O 0.066 0.750 0.377 (multiplicity 8)



Record 7
Structure and computed XRD peak list of Ce11MnS16 (DFT lattice parameters and positions (GGA-PBE); Cu Kα (weighted mean of Kα1 and Kα2)).

Largest 6 diffraction maxima, sorted by position, 10 to 80 degrees two-theta:
25.58 deg, d 3.482, I 100; 33.11 deg, d 2.706, I 32; 33.26 deg, d 2.694, I 51; 39.48 deg, d 2.283, I 32; 39.60 deg, d 2.276, I 30; 50.17 deg, d 1.818, I 26

Cell and atoms:
Unit cell a=8.499 b=17.047 c=8.562 alpha=90.00 beta=90.00 gamma=90.00
Space group P2_12_12 (No. 18)
Inequivalent atoms, fractional coordinates:
Ce 0.000 0.000 0.129 (multiplicity 2)
Ce 0.000 0.250 0.377 (multiplicity 4)
Ce 0.122 0.624 0.756 (multiplicity 4)
Ce 0.129 0.124 0.752 (multiplicity 4)
Ce 0.247 0.315 0.002 (multiplicity 4)
Ce 0.247 0.439 0.493 (multiplicity 4)
Mn 0.000 0.500 0.123 (multiplicity 2)
S 0.071 0.655 0.082 (multiplicity 4)
S 0.075 0.088 0.427 (multiplicity 4)
S 0.076 0.163 0.075 (multiplicity 4)
S 0.078 0.590 0.432 (multiplicity 4)
S 0.175 0.788 0.676 (multiplicity 4)
S 0.176 0.288 0.675 (multiplicity 4)
S 0.179 0.462 0.818 (multiplicity 4)
S 0.188 0.965 0.833 (multiplicity 4)



Record 8
Structure and computed XRD peak list of NaCu3 (DFT lattice parameters and positions (GGA-PBE); Cu Kα (weighted mean of Kα1 and Kα2)).

Largest 6 diffraction maxima, sorted by position, 10 to 80 degrees two-theta:
23.25 deg, d 3.826, I 12; 33.11 deg, d 2.705, I 10; 40.85 deg, d 2.209, I 100; 47.53 deg, d 1.913, I 47; 53.56 deg, d 1.711, I 5; 69.49 deg, d 1.353, I 27

Cell and atoms:
Unit cell a=3.826 b=3.826 c=3.826 alpha=90.00 beta=90.00 gamma=90.00
Space group Pm-3m (No. 221)
Inequivalent atoms, fractional coordinates:
Na 0.000 0.000 0.000 (multiplicity 1)
Cu 0.000 0.500 0.500 (multiplicity 3)



Repeat the fourth record exactly.
Structure and computed XRD peak list of Ag (DFT lattice parameters and positions (GGA-PBE); Cu Kα (weighted mean of Kα1 and Kα2)).

Largest 3 diffraction maxima, sorted by position, 10 to 80 degrees two-theta:
38.45 deg, d 2.341, I 100; 55.50 deg, d 1.656, I 16; 69.54 deg, d 1.352, I 32

Cell and atoms:
Unit cell a=3.311 b=3.311 c=3.311 alpha=90.00 beta=90.00 gamma=90.00
Space group Im-3m (No. 229)
Inequivalent atoms, fractional coordinates:
Ag 0.000 0.000 0.000 (multiplicity 2)



> What is the formula in the sixth record?

Ag5PSeO4



Please write out number 1 again, unchanged.
Structure and computed XRD peak list of NpGaRh2 (DFT lattice parameters and positions (GGA-PBE); Cu Kα (weighted mean of Kα1 and Kα2)).

Largest 6 diffraction maxima, sorted by position, 10 to 80 degrees two-theta:
23.81 deg, d 3.738, I 22; 39.36 deg, d 2.289, I 100; 46.52 deg, d 1.952, I 12; 56.89 deg, d 1.619, I 17; 62.54 deg, d 1.485, I 5; 71.37 deg, d 1.322, I 35

Cell and atoms:
Unit cell a=6.474 b=6.474 c=6.474 alpha=90.00 beta=90.00 gamma=90.00
Space group Fm-3m (No. 225)
Inequivalent atoms, fractional coordinates:
Np 0.000 0.000 0.000 (multiplicity 4)
Ga 0.000 0.000 0.500 (multiplicity 4)
Rh 0.250 0.250 0.250 (multiplicity 8)